Entry 1:
Theoretical PXRD pattern of Er2Tm3Hg3 for Cu Kα X-rays, from DFT lattice parameters and positions (PBE).

Most intense lines, 15° ≤ 2θ ≤ 90°, sorted by position:
2θ = 32.75°, d = 2.735 Å, I = 8
2θ = 33.44°, d = 2.680 Å, I = 22
2θ = 33.95°, d = 2.641 Å, I = 100
2θ = 34.76°, d = 2.581 Å, I = 27
2θ = 48.54°, d = 1.875 Å, I = 8
2θ = 49.00°, d = 1.859 Å, I = 15
2θ = 60.09°, d = 1.540 Å, I = 10
2θ = 61.07°, d = 1.517 Å, I = 10
2θ = 61.79°, d = 1.501 Å, I = 19
2θ = 71.39°, d = 1.321 Å, I = 6

```
data_Er2Tm3Hg3
_chemical_formula_sum 'Er2 Tm3 Hg3'
_space_group_name_H-M_alt 'P 1 m 1'
_space_group_IT_number 6
_cell_length_a 6.5353
_cell_length_b 5.1623
_cell_length_c 6.5481
_cell_angle_alpha 90.00
_cell_angle_beta 110.03
_cell_angle_gamma 90.00
loop_
_space_group_symop_operation_xyz
'x,y,z'
'x,-y,z'
loop_
_atom_site_label
_atom_site_type_symbol
_atom_site_fract_x
_atom_site_fract_y
_atom_site_fract_z
Er1 Er 0.0000 0.0000 0.0000
Er2 Er 0.3469 0.5000 0.7659
Tm1 Tm 0.0506 0.0000 0.5267
Tm2 Tm 0.5334 0.0000 0.4792
Tm3 Tm 0.7644 0.5000 0.2315
Hg1 Hg 0.2512 0.5000 0.2707
Hg2 Hg 0.5082 0.0000 0.9986
Hg3 Hg 0.8440 0.5000 0.7195
```

Entry 2:
Theoretical PXRD pattern of PrYZn2Sn2 for Cu Kα X-rays, from DFT lattice parameters and positions (PBE).

Most intense lines, 15° ≤ 2θ ≤ 90°, sorted by position:
2θ = 27.94°, d = 3.193 Å, I = 20
2θ = 31.58°, d = 2.833 Å, I = 100
2θ = 39.46°, d = 2.284 Å, I = 66
2θ = 45.33°, d = 2.001 Å, I = 17
2θ = 51.39°, d = 1.778 Å, I = 25
2θ = 61.09°, d = 1.517 Å, I = 18
2θ = 66.67°, d = 1.403 Å, I = 23
2θ = 67.77°, d = 1.383 Å, I = 8
2θ = 71.56°, d = 1.319 Å, I = 11
2θ = 75.69°, d = 1.257 Å, I = 8

```
data_PrYZn2Sn2
_chemical_formula_sum 'Pr2 Y2 Zn4 Sn4'
_space_group_name_H-M_alt 'P 63/m m c'
_space_group_IT_number 194
_space_group_name_Hall '-P 6c 2c'
_cell_length_a 4.5677
_cell_length_b 4.5677
_cell_length_c 16.2333
_cell_angle_alpha 90.00
_cell_angle_beta 90.00
_cell_angle_gamma 120.00
loop_
_atom_site_label
_atom_site_type_symbol
_atom_site_fract_x
_atom_site_fract_y
_atom_site_fract_z
Pr1 Pr 0.0000 0.0000 0.2500
Y1 Y 0.0000 0.0000 0.0000
Zn1 Zn 0.3333 0.6667 0.1551
Sn1 Sn 0.3333 0.6667 0.6117
```

Entry 3:
Theoretical PXRD pattern of BaMg2CdIn for Cu Kα X-rays, from DFT lattice parameters and positions (PBE).

Most intense lines, 15° ≤ 2θ ≤ 90°, sorted by position:
2θ = 26.18°, d = 3.404 Å, I = 84
2θ = 27.98°, d = 3.189 Å, I = 100
2θ = 29.74°, d = 3.004 Å, I = 57
2θ = 37.36°, d = 2.407 Å, I = 58
2θ = 39.96°, d = 2.256 Å, I = 71
2θ = 47.32°, d = 1.921 Å, I = 47
2θ = 53.87°, d = 1.702 Å, I = 20
2θ = 55.85°, d = 1.646 Å, I = 50
2θ = 60.86°, d = 1.522 Å, I = 15
2θ = 81.32°, d = 1.183 Å, I = 17

```
data_BaMg2CdIn
_chemical_formula_sum 'Ba2 Mg4 Cd2 In2'
_space_group_name_H-M_alt 'I 4 m m'
_space_group_IT_number 107
_space_group_name_Hall 'I 4 -2'
_cell_length_a 4.8135
_cell_length_b 4.8135
_cell_length_c 12.7739
_cell_angle_alpha 90.00
_cell_angle_beta 90.00
_cell_angle_gamma 90.00
loop_
_atom_site_label
_atom_site_type_symbol
_atom_site_fract_x
_atom_site_fract_y
_atom_site_fract_z
Ba1 Ba 0.0000 0.0000 0.0000
Mg1 Mg 0.0000 0.5000 0.2507
Cd1 Cd 0.0000 0.0000 0.6152
In1 In 0.0000 0.0000 0.3861
```

Q: What is the formula in the second record?
A: PrYZn2Sn2